LaPmN: theoretical powder XRD pattern (λ = 1.5418 Å (Cu Kα)), based on DFT lattice parameters and positions (PBE).
Neutral-atom scattering factors, no anomalous dispersion.

```
LaPmN
1.0
12.163 0.000 0.000
0.000 3.633 0.000
0.000 0.000 6.487
La Pm N
4 4 4
Cartesian
2.914 0.908 0.721
3.168 2.724 3.964
8.995 0.908 2.523
9.249 2.724 5.766
0.107 0.908 5.031
5.975 2.724 1.788
6.188 0.908 4.699
12.056 2.724 1.456
1.454 2.724 6.011
4.628 0.908 2.767
7.535 2.724 3.719
10.710 0.908 0.476
```

Top 8 peaks for 10 to 80 degrees two-theta, most intense first:
- 31.8 deg, I = 100, hkl 2 1 1
- 29.4 deg, I = 40, hkl 4 0 0
- 31.3 deg, I = 26, hkl 2 0 2
- 29.1 deg, I = 22, hkl 1 1 1
- 53.7 deg, I = 21, hkl 6 1 1
- 58.2 deg, I = 20, hkl 4 1 3
- 28.5 deg, I = 19, hkl 1 0 2
- 49.0 deg, I = 19, hkl 0 1 3